(1)
The following is a theoretical X-ray powder pattern of Li3Zn7Cd2. It was derived from a cell relaxed with GGA-PBE, using Cu Kα (weighted mean of Kα1 and Kα2).
Neutral-atom scattering factors, no anomalous dispersion.

Atomic structure:
Unit cell a=4.3035 b=3.0529 c=15.5352 alpha=90.00 beta=97.45 gamma=90.00
Positions (direct):
Li1 0.0000 0.0000 0.0000
Li2 0.3033 0.5000 0.6147
Li3 0.6967 0.5000 0.3853
Zn1 0.0773 0.5000 0.1340
Zn2 0.2308 0.0000 0.4599
Zn3 0.4161 0.0000 0.8514
Zn4 0.5000 0.5000 0.0000
Zn5 0.5839 0.0000 0.1486
Zn6 0.7692 0.0000 0.5401
Zn7 0.9227 0.5000 0.8660
Cd1 0.1514 0.0000 0.2861
Cd2 0.8486 0.0000 0.7139

Largest 12 diffraction maxima, sorted by position, 2θ = 10–90°:
2theta, I/Imax
22.33, 81
22.47, 74
29.25, 39
29.84, 57
37.16, 64
38.18, 51
38.51, 53
38.94, 42
41.01, 64
41.60, 100
41.77, 75
41.99, 91



(2)
The following is a theoretical X-ray powder pattern of Pm4PrRu4. It was derived from a cell relaxed with GGA-PBE, using Cu Kα (weighted mean of Kα1 and Kα2).
Neutral-atom scattering factors, no anomalous dispersion.

Atomic structure:
Unit cell a=9.0120 b=9.0120 c=5.6864 alpha=90.00 beta=90.00 gamma=90.00
Positions (direct):
Pm1 0.0613 0.6779 0.1244
Pm2 0.1779 0.9387 0.6244
Pm3 0.3221 0.5613 0.6244
Pm4 0.4387 0.8221 0.1244
Pm5 0.5613 0.1779 0.8756
Pm6 0.6779 0.4387 0.3756
Pm7 0.8221 0.0613 0.3756
Pm8 0.9387 0.3221 0.8756
Pr1 0.2500 0.2500 0.2500
Pr2 0.7500 0.7500 0.7500
Ru1 0.0127 0.6202 0.6119
Ru2 0.1202 0.9873 0.1119
Ru3 0.3798 0.5127 0.1119
Ru4 0.4873 0.8798 0.6119
Ru5 0.5127 0.1202 0.3881
Ru6 0.6202 0.4873 0.8881
Ru7 0.8798 0.0127 0.8881
Ru8 0.9873 0.3798 0.3881

Largest 12 diffraction maxima, sorted by position, 2θ = 10–90°:
2theta, I/Imax
27.12, 33
31.39, 100
33.04, 47
35.23, 16
38.76, 35
39.38, 13
43.84, 13
44.99, 30
48.49, 30
52.83, 16
53.32, 12
57.46, 12



(3)
The following is a theoretical X-ray powder pattern of YTh2Hg5. It was derived from a cell relaxed with GGA-PBE, using Cu Kα (weighted mean of Kα1 and Kα2).
Neutral-atom scattering factors, no anomalous dispersion.

Atomic structure:
Unit cell a=8.6157 b=8.6157 c=8.6157 alpha=145.23 beta=145.23 gamma=49.99
Positions (direct):
Y1 0.0000 0.0000 0.0000
Th1 0.2613 0.2613 0.0000
Th2 0.7387 0.7387 0.0000
Hg1 0.1164 0.6164 0.5000
Hg2 0.3836 0.8836 0.5000
Hg3 0.5000 0.5000 0.0000
Hg4 0.6164 0.1164 0.5000
Hg5 0.8836 0.3836 0.5000

Largest 12 diffraction maxima, sorted by position, 2θ = 10–90°:
2theta, I/Imax
27.02, 4
33.66, 100
34.85, 48
46.52, 9
50.11, 17
59.42, 17
61.73, 36
70.77, 10
73.59, 6
77.96, 6
83.40, 9
84.08, 8